Theoretical powder XRD pattern of CeSc4Sb5 for a wavelength of 1.5418 Å, from a crystal structure in Alexandria, relaxed with GGA-PBE.

Principal peaks in the range 10 to 90 degrees two-theta, by intensity:
2θ = 29.90°, I = 100.0
2θ = 42.65°, I = 93.2
2θ = 29.68°, I = 52.0
2θ = 25.76°, I = 27.2
2θ = 70.35°, I = 23.2
2θ = 52.88°, I = 19.8
2θ = 53.01°, I = 18.2
2θ = 42.87°, I = 17.3
2θ = 69.99°, I = 16.3
2θ = 78.17°, I = 11.9

Atomic structure:
abc: 11.171 11.171 11.171
angles: 158.16 148.73 38.46
Positions (direct):
Ce 0.000 0.000 0.000
Sc 0.205 0.205 0.000
Sc 0.399 0.399 0.000
Sc 0.601 0.601 0.000
Sc 0.795 0.795 0.000
Sb 0.108 0.608 0.500
Sb 0.301 0.801 0.500
Sb 0.500 0.000 0.500
Sb 0.699 0.199 0.500
Sb 0.892 0.392 0.500

Theoretical powder XRD pattern of Li2Ca6Hg for a wavelength of 1.5418 Å, from a crystal structure in Alexandria, relaxed with GGA-PBE.

Principal peaks in the range 10 to 90 degrees two-theta, by intensity:
2θ = 30.59°, I = 100.0
2θ = 18.30°, I = 65.6
2θ = 10.76°, I = 56.3
2θ = 32.66°, I = 46.6
2θ = 17.12°, I = 39.9
2θ = 57.01°, I = 31.6
2θ = 26.37°, I = 25.6
2θ = 46.84°, I = 20.8
2θ = 13.28°, I = 19.5
2θ = 25.45°, I = 17.3

Atomic structure:
abc: 10.586 8.667 7.211
angles: 83.09 54.36 42.55
Positions (direct):
Li 0.170 0.170 0.830
Li 0.830 0.830 0.170
Ca 0.139 0.861 0.139
Ca 0.193 0.483 0.517
Ca 0.483 0.193 0.807
Ca 0.517 0.807 0.193
Ca 0.807 0.517 0.483
Ca 0.861 0.139 0.861
Hg 0.500 0.500 0.500

Theoretical powder XRD pattern of Ba4PrSmCu6O14 for a wavelength of 1.5418 Å, from a crystal structure in Alexandria, relaxed with GGA-PBE.

Principal peaks in the range 10 to 90 degrees two-theta, by intensity:
2θ = 32.30°, I = 100.0
2θ = 31.98°, I = 47.2
2θ = 57.28°, I = 19.7
2θ = 57.12°, I = 18.9
2θ = 57.80°, I = 17.4
2θ = 39.70°, I = 14.6
2θ = 45.99°, I = 14.4
2θ = 46.79°, I = 13.7
2θ = 45.73°, I = 10.7
2θ = 67.70°, I = 8.4

Atomic structure:
abc: 3.883 3.947 23.808
angles: 90.00 90.00 90.00
Positions (direct):
Ba 0.000 0.000 0.160
Ba 0.000 0.000 0.339
Ba 0.000 0.000 0.661
Ba 0.000 0.000 0.840
Pr 0.000 0.000 0.500
Sm 0.000 0.000 0.000
Cu 0.500 0.500 0.075
Cu 0.500 0.500 0.249
Cu 0.500 0.500 0.422
Cu 0.500 0.500 0.578
Cu 0.500 0.500 0.751
Cu 0.500 0.500 0.925
O 0.000 0.500 0.062
O 0.000 0.500 0.435
O 0.000 0.500 0.565
O 0.000 0.500 0.938
O 0.500 0.000 0.063
O 0.500 0.000 0.249
O 0.500 0.000 0.435
O 0.500 0.000 0.565
O 0.500 0.000 0.751
O 0.500 0.000 0.937
O 0.500 0.500 0.170
O 0.500 0.500 0.328
O 0.500 0.500 0.672
O 0.500 0.500 0.830

Theoretical powder XRD pattern of Nb2Co4Rh for a wavelength of 1.5418 Å, from a crystal structure in Alexandria, relaxed with GGA-PBE.

Principal peaks in the range 10 to 90 degrees two-theta, by intensity:
2θ = 37.72°, I = 100.0
2θ = 41.99°, I = 75.0
2θ = 40.81°, I = 68.1
2θ = 47.98°, I = 65.9
2θ = 43.57°, I = 43.1
2θ = 52.91°, I = 21.5
2θ = 66.46°, I = 21.4
2θ = 47.03°, I = 19.0
2θ = 36.47°, I = 17.0
2θ = 68.91°, I = 16.7

Atomic structure:
abc: 4.953 4.953 8.844
angles: 90.00 90.00 59.66
Positions (direct):
Nb 0.164 0.164 0.000
Nb 0.336 0.336 0.500
Nb 0.664 0.664 0.500
Nb 0.836 0.836 0.000
Co 0.086 0.414 0.750
Co 0.134 0.866 0.772
Co 0.366 0.634 0.272
Co 0.414 0.086 0.250
Co 0.586 0.914 0.750
Co 0.634 0.366 0.728
Co 0.866 0.134 0.228
Co 0.914 0.586 0.250
Rh 0.000 0.000 0.500
Rh 0.500 0.500 0.000

Theoretical powder XRD pattern of Pm6SmSi4 for a wavelength of 1.5418 Å, from a crystal structure in Alexandria, relaxed with GGA-PBE.

Principal peaks in the range 10 to 90 degrees two-theta, by intensity:
2θ = 31.36°, I = 100.0
2θ = 33.60°, I = 34.1
2θ = 29.54°, I = 26.2
2θ = 24.55°, I = 25.8
2θ = 37.04°, I = 25.6
2θ = 54.87°, I = 24.7
2θ = 38.99°, I = 23.9
2θ = 22.22°, I = 22.7
2θ = 56.94°, I = 15.1
2θ = 88.94°, I = 14.6

Atomic structure:
abc: 9.240 9.240 4.067
angles: 90.00 90.00 120.00
Positions (direct):
Pm 0.196 0.391 0.000
Pm 0.196 0.804 0.000
Pm 0.541 0.082 0.500
Pm 0.541 0.459 0.500
Pm 0.609 0.804 0.000
Pm 0.918 0.459 0.500
Sm 0.000 0.000 0.500
Si 0.328 0.164 0.000
Si 0.333 0.667 0.500
Si 0.836 0.164 0.000
Si 0.836 0.672 0.000

Theoretical powder XRD pattern of Mg12Sc17 for a wavelength of 1.5418 Å, from a crystal structure in Alexandria, relaxed with GGA-PBE.

Principal peaks in the range 10 to 90 degrees two-theta, by intensity:
2θ = 34.18°, I = 100.0
2θ = 61.20°, I = 24.2
2θ = 37.92°, I = 15.7
2θ = 39.67°, I = 9.5
2θ = 41.37°, I = 8.7
2θ = 32.17°, I = 6.2
2θ = 71.99°, I = 5.5
2θ = 58.65°, I = 4.9
2θ = 19.54°, I = 4.6
2θ = 57.36°, I = 4.1

Atomic structure:
abc: 9.639 9.639 9.639
angles: 109.47 109.47 109.47
Positions (direct):
Mg 0.000 0.631 0.812
Mg 0.000 0.812 0.631
Mg 0.181 0.369 0.369
Mg 0.188 0.188 0.819
Mg 0.188 0.819 0.188
Mg 0.369 0.181 0.369
Mg 0.369 0.369 0.181
Mg 0.631 0.000 0.812
Mg 0.631 0.812 0.000
Mg 0.812 0.000 0.631
Mg 0.812 0.631 0.000
Mg 0.819 0.188 0.188
Sc 0.000 0.000 0.000
Sc 0.000 0.000 0.356
Sc 0.000 0.316 0.599
Sc 0.000 0.356 0.000
Sc 0.000 0.599 0.316
Sc 0.283 0.684 0.684
Sc 0.316 0.000 0.599
Sc 0.316 0.599 0.000
Sc 0.356 0.000 0.000
Sc 0.401 0.401 0.717
Sc 0.401 0.717 0.401
Sc 0.599 0.000 0.316
Sc 0.599 0.316 0.000
Sc 0.644 0.644 0.644
Sc 0.684 0.283 0.684
Sc 0.684 0.684 0.283
Sc 0.717 0.401 0.401

Theoretical powder XRD pattern of Li3Pt2 for a wavelength of 1.5418 Å, from a crystal structure in Alexandria, relaxed with GGA-PBE.

Principal peaks in the range 10 to 90 degrees two-theta, by intensity:
2θ = 17.92°, I = 100.0
2θ = 29.22°, I = 69.1
2θ = 44.33°, I = 60.8
2θ = 40.20°, I = 53.0
2θ = 22.89°, I = 52.1
2θ = 43.34°, I = 43.7
2θ = 61.00°, I = 19.4
2θ = 55.26°, I = 18.9
2θ = 75.24°, I = 17.5
2θ = 60.59°, I = 16.4

Atomic structure:
abc: 4.486 4.486 4.951
angles: 90.00 90.00 120.00
Positions (direct):
Li 0.000 0.000 0.000
Li 0.333 0.667 0.419
Li 0.667 0.333 0.581
Pt 0.333 0.667 0.933
Pt 0.667 0.333 0.067

Theoretical powder XRD pattern of MgAl4Tl4O12 for a wavelength of 1.5418 Å, from a crystal structure in Alexandria, relaxed with GGA-PBE.

Principal peaks in the range 10 to 90 degrees two-theta, by intensity:
2θ = 28.31°, I = 100.0
2θ = 30.64°, I = 89.2
2θ = 31.49°, I = 82.0
2θ = 36.27°, I = 70.4
2θ = 33.83°, I = 62.9
2θ = 35.77°, I = 59.9
2θ = 20.78°, I = 55.5
2θ = 22.68°, I = 46.4
2θ = 32.33°, I = 46.2
2θ = 25.31°, I = 44.4

Atomic structure:
abc: 5.760 5.930 8.417
angles: 85.01 81.68 84.40
Positions (direct):
Mg 0.000 0.000 0.000
Al 0.288 0.675 0.739
Al 0.321 0.827 0.322
Al 0.519 0.164 0.769
Al 0.645 0.276 0.341
Tl 0.088 0.213 0.611
Tl 0.180 0.403 0.184
Tl 0.701 0.619 0.988
Tl 0.796 0.730 0.529
O 0.015 0.569 0.717
O 0.052 0.955 0.442
O 0.140 0.782 0.161
O 0.299 0.950 0.826
O 0.414 0.433 0.853
O 0.429 0.741 0.540
O 0.475 0.537 0.279
O 0.476 0.075 0.260
O 0.500 0.218 0.559
O 0.808 0.074 0.808
O 0.878 0.253 0.137
O 0.893 0.405 0.417

Theoretical powder XRD pattern of Pm7Al3 for a wavelength of 1.5418 Å, from a crystal structure in Alexandria, relaxed with GGA-PBE.

Principal peaks in the range 10 to 90 degrees two-theta, by intensity:
2θ = 32.51°, I = 100.0
2θ = 34.43°, I = 30.6
2θ = 31.49°, I = 25.1
2θ = 34.30°, I = 16.9
2θ = 24.84°, I = 16.4
2θ = 60.47°, I = 15.4
2θ = 29.83°, I = 11.7
2θ = 50.95°, I = 11.7
2θ = 22.12°, I = 11.4
2θ = 23.52°, I = 10.7

Atomic structure:
abc: 8.887 8.887 6.812
angles: 106.44 106.44 34.08
Positions (direct):
Pm 0.000 0.000 0.000
Pm 0.196 0.196 0.677
Pm 0.366 0.366 0.087
Pm 0.409 0.409 0.630
Pm 0.591 0.591 0.370
Pm 0.634 0.634 0.913
Pm 0.804 0.804 0.323
Al 0.000 0.000 0.500
Al 0.194 0.194 0.198
Al 0.806 0.806 0.802

Theoretical powder XRD pattern of CaPt2O4 for a wavelength of 1.5418 Å, from a crystal structure in Alexandria, relaxed with GGA-PBE.

Principal peaks in the range 10 to 90 degrees two-theta, by intensity:
2θ = 15.24°, I = 100.0
2θ = 34.61°, I = 96.3
2θ = 38.01°, I = 59.9
2θ = 21.80°, I = 40.0
2θ = 55.01°, I = 28.1
2θ = 31.28°, I = 27.4
2θ = 34.96°, I = 25.0
2θ = 34.49°, I = 22.8
2θ = 57.83°, I = 22.5
2θ = 74.90°, I = 20.8

Atomic structure:
abc: 5.815 5.815 5.720
angles: 90.00 90.00 90.00
Positions (direct):
Ca 0.000 0.500 0.000
Ca 0.500 0.000 0.500
Pt 0.000 0.242 0.500
Pt 0.000 0.758 0.500
Pt 0.242 0.000 0.000
Pt 0.758 0.000 0.000
O 0.241 0.241 0.250
O 0.241 0.241 0.750
O 0.241 0.759 0.250
O 0.241 0.759 0.750
O 0.759 0.241 0.250
O 0.759 0.241 0.750
O 0.759 0.759 0.250
O 0.759 0.759 0.750

Theoretical powder XRD pattern of NaNiH2 for a wavelength of 1.5418 Å, from a crystal structure in Alexandria, relaxed with GGA-PBE.

Principal peaks in the range 10 to 90 degrees two-theta, by intensity:
2θ = 44.53°, I = 100.0
2θ = 38.05°, I = 86.1
2θ = 34.43°, I = 79.2
2θ = 36.19°, I = 79.1
2θ = 23.23°, I = 67.3
2θ = 15.69°, I = 45.8
2θ = 33.77°, I = 37.3
2θ = 31.69°, I = 35.5
2θ = 68.74°, I = 33.8
2θ = 47.49°, I = 23.7

Atomic structure:
abc: 2.731 11.293 5.210
angles: 90.00 90.00 90.00
Positions (direct):
Na 0.000 0.149 0.250
Na 0.000 0.851 0.750
Na 0.500 0.351 0.750
Na 0.500 0.649 0.250
Ni 0.000 0.416 0.250
Ni 0.000 0.584 0.750
Ni 0.500 0.084 0.750
Ni 0.500 0.916 0.250
H 0.000 0.167 0.750
H 0.000 0.500 0.000
H 0.000 0.500 0.500
H 0.000 0.833 0.250
H 0.500 0.000 0.000
H 0.500 0.000 0.500
H 0.500 0.333 0.250
H 0.500 0.667 0.750

Theoretical powder XRD pattern of Ta3V7Si6 for a wavelength of 1.5418 Å, from a crystal structure in Alexandria, relaxed with GGA-PBE.

Principal peaks in the range 10 to 90 degrees two-theta, by intensity:
2θ = 42.13°, I = 100.0
2θ = 37.70°, I = 46.6
2θ = 30.59°, I = 32.4
2θ = 44.61°, I = 31.6
2θ = 18.13°, I = 29.1
2θ = 23.00°, I = 23.6
2θ = 53.66°, I = 23.5
2θ = 69.85°, I = 22.4
2θ = 39.50°, I = 19.7
2θ = 71.09°, I = 19.6

Atomic structure:
abc: 7.289 7.289 4.893
angles: 90.00 90.00 120.00
Positions (direct):
Ta 0.000 0.229 0.000
Ta 0.229 0.000 0.000
Ta 0.771 0.771 0.000
V 0.000 0.735 0.500
V 0.265 0.265 0.500
V 0.333 0.667 0.254
V 0.333 0.667 0.746
V 0.667 0.333 0.254
V 0.667 0.333 0.746
V 0.735 0.000 0.500
Si 0.000 0.389 0.500
Si 0.000 0.592 0.000
Si 0.389 0.000 0.500
Si 0.408 0.408 0.000
Si 0.592 0.000 0.000
Si 0.611 0.611 0.500